LiHg2Pd: computed X-ray powder pattern (a wavelength of 1.5418 Å), based on DFT lattice parameters and positions (GGA-PBE).
No peak broadening, texture or thermal motion is included.

Top 8 peaks for 15° ≤ 2θ ≤ 90°, in order of falling intensity:
2theta	I/Imax
38.3	100.0
26.8	38.6
69.3	35.7
55.3	17.4
62.5	15.6
47.4	11.7
82.1	11.5
23.2	10.0

Atomic structure:
```
data_LiHg2Pd
_chemical_formula_sum 'Li1 Hg2 Pd1'
_symmetry_space_group_name_H-M 'P 1'
_symmetry_Int_Tables_number 1
_symmetry_space_group_name_Hall 'P 1'
_cell_length_a 4.696
_cell_length_b 4.696
_cell_length_c 4.696
_cell_angle_alpha 60.00
_cell_angle_beta 60.00
_cell_angle_gamma 60.00
loop_
_atom_site_label
_atom_site_type_symbol
_atom_site_fract_x
_atom_site_fract_y
_atom_site_fract_z
Li1 Li 0.000 0.000 0.000
Hg1 Hg 0.250 0.250 0.250
Hg2 Hg 0.750 0.750 0.750
Pd1 Pd 0.500 0.500 0.500
```

LiPrHg2: computed X-ray powder pattern (a wavelength of 1.5418 Å), based on DFT lattice parameters and positions (GGA-PBE).
No peak broadening, texture or thermal motion is included.

Top 8 peaks for 15° ≤ 2θ ≤ 90°, in order of falling intensity:
2theta	I/Imax
34.6	100.0
62.0	37.7
24.3	25.6
49.7	18.2
83.3	16.9
21.0	14.7
73.0	11.8
56.1	11.2

Atomic structure:
```
data_LiPrHg2
_chemical_formula_sum 'Li1 Pr1 Hg2'
_symmetry_space_group_name_H-M 'P 1'
_symmetry_Int_Tables_number 1
_symmetry_space_group_name_Hall 'P 1'
_cell_length_a 5.187
_cell_length_b 5.187
_cell_length_c 5.187
_cell_angle_alpha 60.00
_cell_angle_beta 60.00
_cell_angle_gamma 60.00
loop_
_atom_site_label
_atom_site_type_symbol
_atom_site_fract_x
_atom_site_fract_y
_atom_site_fract_z
Li1 Li 0.000 0.000 0.000
Pr1 Pr 0.500 0.500 0.500
Hg1 Hg 0.250 0.250 0.250
Hg2 Hg 0.750 0.750 0.750
```